(1)
Structure and computed PXRD pattern of SiB2W5 (a crystal structure in Alexandria, relaxed with GGA-PBE; Cu Kα X-rays).

Top 10 peaks for 10 to 90 degrees two-theta, most intense first:
2θ (°), d/Å, Rel. int.
41.16, 2.193, 100
33.77, 2.654, 77
46.98, 1.934, 50
44.28, 2.046, 38
38.79, 2.322, 37
68.87, 1.363, 26
74.27, 1.277, 26
26.21, 3.400, 22
68.18, 1.375, 21
32.54, 2.752, 18

Structural model:
a b c (Å): 7.000 7.000 7.000
angles (deg): 128.19 128.19 76.31
Atoms (fractional coordinates):
Si1 0.250 0.250 0.000
Si2 0.750 0.750 0.000
B1 0.130 0.630 0.760
B2 0.370 0.130 0.500
B3 0.630 0.870 0.500
B4 0.870 0.370 0.240
W1 0.000 0.000 0.000
W2 0.018 0.200 0.500
W3 0.200 0.700 0.182
W4 0.300 0.482 0.500
W5 0.482 0.982 0.182
W6 0.500 0.500 0.000
W7 0.518 0.018 0.818
W8 0.700 0.518 0.500
W9 0.800 0.300 0.818
W10 0.982 0.800 0.500

(2)
Structure and computed PXRD pattern of TbThAg3 (a crystal structure in Alexandria, relaxed with GGA-PBE; Cu Kα X-rays).

Top 10 peaks for 10 to 90 degrees two-theta, most intense first:
2θ (°), d/Å, Rel. int.
33.28, 2.692, 100
36.40, 2.469, 70
34.04, 2.634, 50
37.04, 2.427, 40
66.27, 1.410, 35
51.18, 1.785, 32
64.41, 1.447, 25
22.12, 4.019, 15
66.66, 1.403, 14
53.28, 1.719, 14

Structural model:
a b c (Å): 14.437 14.437 4.854
angles (deg): 90.00 90.00 166.32
Atoms (fractional coordinates):
Tb1 0.210 0.790 0.750
Tb2 0.790 0.210 0.250
Th1 0.074 0.926 0.250
Th2 0.926 0.074 0.750
Ag1 0.323 0.677 0.750
Ag2 0.378 0.622 0.250
Ag3 0.476 0.524 0.250
Ag4 0.524 0.476 0.750
Ag5 0.622 0.378 0.750
Ag6 0.677 0.323 0.250

(3)
Structure and computed PXRD pattern of CsTl9Rh2 (a crystal structure in Alexandria, relaxed with GGA-PBE; Cu Kα X-rays).

Top 10 peaks for 10 to 90 degrees two-theta, most intense first:
2θ (°), d/Å, Rel. int.
29.67, 3.011, 100
35.21, 2.549, 77
10.67, 8.291, 41
37.58, 2.393, 39
41.23, 2.190, 26
57.00, 1.616, 23
28.48, 3.134, 23
38.52, 2.337, 20
59.62, 1.551, 19
71.29, 1.323, 16

Structural model:
a b c (Å): 9.574 9.574 4.380
angles (deg): 90.00 90.00 120.00
Atoms (fractional coordinates):
Cs1 0.000 0.000 0.000
Tl1 0.000 0.500 0.000
Tl2 0.208 0.417 0.500
Tl3 0.208 0.792 0.500
Tl4 0.417 0.208 0.500
Tl5 0.500 0.000 0.000
Tl6 0.500 0.500 0.000
Tl7 0.583 0.792 0.500
Tl8 0.792 0.208 0.500
Tl9 0.792 0.583 0.500
Rh1 0.333 0.667 0.000
Rh2 0.667 0.333 0.000

(4)
Structure and computed PXRD pattern of Tb3Pr6Sm2Mg (a crystal structure in Alexandria, relaxed with GGA-PBE; Cu Kα X-rays).

Top 10 peaks for 10 to 90 degrees two-theta, most intense first:
2θ (°), d/Å, Rel. int.
30.14, 2.965, 100
35.03, 2.562, 67
30.43, 2.938, 32
59.83, 1.546, 28
50.19, 1.818, 24
50.56, 1.805, 24
59.67, 1.550, 14
60.17, 1.538, 14
62.67, 1.482, 12
81.64, 1.179, 12

Structural model:
a b c (Å): 6.298 6.298 11.938
angles (deg): 95.05 95.05 120.04
Atoms (fractional coordinates):
Tb1 0.000 0.000 0.000
Tb2 0.334 0.666 0.000
Tb3 0.666 0.334 0.000
Pr1 0.086 0.417 0.250
Pr2 0.252 0.252 0.751
Pr3 0.417 0.086 0.250
Pr4 0.583 0.914 0.750
Pr5 0.748 0.748 0.249
Pr6 0.914 0.583 0.750
Sm1 0.167 0.833 0.500
Sm2 0.833 0.167 0.500
Mg1 0.500 0.500 0.500

(5)
Structure and computed PXRD pattern of YScPb2 (a crystal structure in Alexandria, relaxed with GGA-PBE; Cu Kα X-rays).

Top 10 peaks for 10 to 90 degrees two-theta, most intense first:
2θ (°), d/Å, Rel. int.
32.83, 2.728, 100
35.56, 2.524, 20
20.20, 4.397, 20
37.49, 2.399, 18
41.06, 2.198, 14
56.81, 1.621, 13
69.62, 1.351, 12
25.56, 3.486, 11
55.42, 1.658, 11
25.67, 3.470, 11

Structural model:
a b c (Å): 6.980 8.793 3.475
angles (deg): 90.00 92.92 90.00
Atoms (fractional coordinates):
Y1 0.000 0.000 0.000
Y2 0.500 0.500 0.000
Sc1 0.000 0.500 0.000
Sc2 0.500 0.000 0.000
Pb1 0.250 0.250 0.500
Pb2 0.250 0.750 0.500
Pb3 0.750 0.250 0.500
Pb4 0.750 0.750 0.500

(6)
Structure and computed PXRD pattern of K2PuGa2O6 (a crystal structure in Alexandria, relaxed with GGA-PBE; Cu Kα X-rays).

Top 10 peaks for 10 to 90 degrees two-theta, most intense first:
2θ (°), d/Å, Rel. int.
13.83, 6.404, 100
43.46, 2.082, 70
23.33, 3.813, 57
32.68, 2.741, 55
35.63, 2.520, 42
27.86, 3.202, 27
54.49, 1.684, 18
67.79, 1.382, 18
58.32, 1.582, 17
40.54, 2.225, 16

Structural model:
a b c (Å): 5.481 5.481 6.404
angles (deg): 90.00 90.00 120.00
Atoms (fractional coordinates):
K1 0.333 0.667 0.000
K2 0.667 0.333 0.000
Pu1 0.000 0.000 0.500
Ga1 0.333 0.667 0.500
Ga2 0.667 0.333 0.500
O1 0.000 0.360 0.670
O2 0.000 0.640 0.330
O3 0.360 0.000 0.670
O4 0.360 0.360 0.330
O5 0.640 0.000 0.330
O6 0.640 0.640 0.670

(7)
Structure and computed PXRD pattern of Ti2CuPd2 (a crystal structure in Alexandria, relaxed with GGA-PBE; Cu Kα X-rays).

Top 10 peaks for 10 to 90 degrees two-theta, most intense first:
2θ (°), d/Å, Rel. int.
42.94, 2.106, 100
41.20, 2.191, 69
42.34, 2.135, 47
32.24, 2.777, 25
41.08, 2.197, 23
22.42, 3.966, 22
36.21, 2.481, 18
22.29, 3.988, 18
77.85, 1.227, 16
60.46, 1.531, 14

Structural model:
a b c (Å): 5.045 5.045 7.977
angles (deg): 90.00 90.00 129.93
Atoms (fractional coordinates):
Ti1 0.051 0.949 0.500
Ti2 0.210 0.790 0.181
Ti3 0.790 0.210 0.681
Ti4 0.949 0.051 0.000
Cu1 0.332 0.668 0.505
Cu2 0.668 0.332 0.005
Pd1 0.198 0.802 0.827
Pd2 0.500 0.500 0.252
Pd3 0.500 0.500 0.752
Pd4 0.802 0.198 0.327

(8)
Structure and computed PXRD pattern of La5NbGe4 (a crystal structure in Alexandria, relaxed with GGA-PBE; Cu Kα X-rays).

Top 10 peaks for 10 to 90 degrees two-theta, most intense first:
2θ (°), d/Å, Rel. int.
30.84, 2.899, 100
30.22, 2.958, 52
43.97, 2.059, 37
43.47, 2.082, 36
26.29, 3.389, 31
54.12, 1.695, 20
43.78, 2.068, 20
44.57, 2.033, 16
26.80, 3.327, 15
26.41, 3.375, 15

Structural model:
a b c (Å): 9.365 9.365 8.132
angles (deg): 103.38 103.38 25.51
Atoms (fractional coordinates):
La1 0.000 0.000 0.000
La2 0.327 0.327 0.667
La3 0.339 0.339 0.148
La4 0.661 0.661 0.852
La5 0.673 0.673 0.333
Nb1 0.000 0.000 0.500
Ge1 0.154 0.154 0.586
Ge2 0.496 0.496 0.716
Ge3 0.504 0.504 0.284
Ge4 0.846 0.846 0.414

(9)
Structure and computed PXRD pattern of CaP4Pt2 (a crystal structure in Alexandria, relaxed with GGA-PBE; Cu Kα X-rays).

Top 10 peaks for 10 to 90 degrees two-theta, most intense first:
2θ (°), d/Å, Rel. int.
34.05, 2.633, 100
15.82, 5.602, 61
19.57, 4.535, 60
37.75, 2.383, 55
28.06, 3.180, 48
51.88, 1.762, 42
23.03, 3.862, 40
47.99, 1.896, 39
43.03, 2.102, 32
50.85, 1.796, 23

Structural model:
a b c (Å): 5.602 5.602 7.724
angles (deg): 90.00 90.00 90.00
Atoms (fractional coordinates):
Ca1 0.000 0.500 0.000
Ca2 0.500 0.000 0.500
P1 0.226 0.226 0.250
P2 0.226 0.226 0.750
P3 0.226 0.774 0.250
P4 0.226 0.774 0.750
P5 0.774 0.226 0.250
P6 0.774 0.226 0.750
P7 0.774 0.774 0.250
P8 0.774 0.774 0.750
Pt1 0.247 0.500 0.500
Pt2 0.500 0.247 0.000
Pt3 0.500 0.753 0.000
Pt4 0.753 0.500 0.500

(10)
Structure and computed PXRD pattern of AcCeGa2Ge2 (a crystal structure in Alexandria, relaxed with GGA-PBE; Cu Kα X-rays).

Top 10 peaks for 10 to 90 degrees two-theta, most intense first:
2θ (°), d/Å, Rel. int.
30.96, 2.888, 100
42.33, 2.135, 36
53.36, 1.717, 22
70.36, 1.338, 19
58.87, 1.569, 18
24.06, 3.699, 16
46.31, 1.961, 15
38.95, 2.312, 10
65.61, 1.423, 9
80.24, 1.196, 6

Structural model:
a b c (Å): 4.271 4.271 9.249
angles (deg): 90.00 90.00 120.00
Atoms (fractional coordinates):
Ac1 0.000 0.000 0.000
Ce1 0.000 0.000 0.500
Ga1 0.333 0.667 0.773
Ga2 0.667 0.333 0.227
Ge1 0.333 0.667 0.301
Ge2 0.667 0.333 0.699

(11)
Structure and computed PXRD pattern of NaGe2Cl5 (a crystal structure in Alexandria, relaxed with GGA-PBE; Cu Kα X-rays).

Top 10 peaks for 10 to 90 degrees two-theta, most intense first:
2θ (°), d/Å, Rel. int.
19.39, 4.578, 100
23.43, 3.796, 59
39.44, 2.285, 37
30.76, 2.907, 30
23.96, 3.714, 26
15.96, 5.552, 25
21.42, 4.147, 24
46.02, 1.972, 24
36.86, 2.439, 23
34.27, 2.616, 21

Structural model:
a b c (Å): 9.017 14.012 8.151
angles (deg): 90.00 90.00 90.00
Atoms (fractional coordinates):
Na1 0.000 0.071 0.250
Na2 0.000 0.929 0.750
Na3 0.500 0.429 0.750
Na4 0.500 0.571 0.250
Ge1 0.124 0.344 0.024
Ge2 0.124 0.656 0.524
Ge3 0.376 0.156 0.524
Ge4 0.376 0.844 0.024
Ge5 0.624 0.156 0.976
Ge6 0.624 0.844 0.476
Ge7 0.876 0.344 0.476
Ge8 0.876 0.656 0.976
Cl1 0.000 0.437 0.250
Cl2 0.000 0.563 0.750
Cl3 0.159 0.065 0.547
Cl4 0.159 0.935 0.047
Cl5 0.211 0.218 0.184
Cl6 0.211 0.782 0.684
Cl7 0.289 0.282 0.684
Cl8 0.289 0.718 0.184
Cl9 0.341 0.435 0.047
Cl10 0.341 0.565 0.547
Cl11 0.500 0.063 0.750
Cl12 0.500 0.937 0.250
Cl13 0.659 0.435 0.453
Cl14 0.659 0.565 0.953
Cl15 0.711 0.282 0.816
Cl16 0.711 0.718 0.316
Cl17 0.789 0.218 0.316
Cl18 0.789 0.782 0.816
Cl19 0.841 0.065 0.953
Cl20 0.841 0.935 0.453

(12)
Structure and computed PXRD pattern of UBrCl2 (a crystal structure in Alexandria, relaxed with GGA-PBE; Cu Kα X-rays).

Top 10 peaks for 10 to 90 degrees two-theta, most intense first:
2θ (°), d/Å, Rel. int.
13.50, 6.558, 100
25.26, 3.525, 55
16.70, 5.307, 52
34.77, 2.580, 34
40.26, 2.240, 33
30.82, 2.902, 24
33.78, 2.654, 23
33.43, 2.680, 22
21.25, 4.181, 22
27.18, 3.281, 21

Structural model:
a b c (Å): 5.803 4.181 7.164
angles (deg): 90.00 113.73 90.00
Atoms (fractional coordinates):
U1 0.000 0.000 0.000
Br1 0.500 0.000 0.000
Cl1 0.132 0.500 0.274
Cl2 0.868 0.500 0.726

Copy entry 12 word for word.
Structure and computed PXRD pattern of UBrCl2 (a crystal structure in Alexandria, relaxed with GGA-PBE; Cu Kα X-rays).

Top 10 peaks for 10 to 90 degrees two-theta, most intense first:
2θ (°), d/Å, Rel. int.
13.50, 6.558, 100
25.26, 3.525, 55
16.70, 5.307, 52
34.77, 2.580, 34
40.26, 2.240, 33
30.82, 2.902, 24
33.78, 2.654, 23
33.43, 2.680, 22
21.25, 4.181, 22
27.18, 3.281, 21

Structural model:
a b c (Å): 5.803 4.181 7.164
angles (deg): 90.00 113.73 90.00
Atoms (fractional coordinates):
U1 0.000 0.000 0.000
Br1 0.500 0.000 0.000
Cl1 0.132 0.500 0.274
Cl2 0.868 0.500 0.726